[1]
# YErHgAu
Computed PXRD pattern, Cu Kα. Input: DFT lattice parameters and positions (PBE).
Peak positions follow from Bragg's law for the DFT cell and can differ from measured ones.

Structural model:
Lattice parameters (Å, degrees): 3.663 3.663 7.234 90.00 90.00 90.00
Space group P4mm (No. 99)
One atom of each set of equivalent atoms:
Y 0.000 0.000 0.000
Er 0.000 0.000 0.521
Hg 0.500 0.500 0.266
Au 0.500 0.500 0.751

Largest 6 diffraction maxima, in order of falling intensity, 2θ = 15–90°:
| index | d [Å] | I (rel.) |
| --- | --- | --- |
| 1 0 2 | 2.574 | 100.0 |
| 1 1 0 | 2.590 | 51.5 |
| 2 1 2 | 1.492 | 37.8 |
| 2 0 0 | 1.832 | 18.6 |
| 1 1 4 | 1.483 | 17.8 |
| 2 0 4 | 1.287 | 11.2 |

***

[2]
# Li3BiO3
Computed PXRD pattern, Cu Kα. Input: DFT lattice parameters and positions (PBE).
Peak positions follow from Bragg's law for the DFT cell and can differ from measured ones.

Structural model:
Lattice parameters (Å, degrees): 14.180 14.180 7.385 90.00 90.00 90.00
Space group I4_1 (No. 80)
One atom of each set of equivalent atoms:
Li 0.005 0.610 0.000
Li 0.011 0.289 0.283
Li 0.034 0.094 0.474
Li 0.058 0.929 0.084
Li 0.136 0.262 0.519
Li 0.137 0.769 0.187
Bi 0.085 0.728 0.691
Bi 0.109 0.201 0.978
O 0.031 0.593 0.746
O 0.033 0.749 0.032
O 0.045 0.199 0.656
O 0.056 0.422 0.235
O 0.110 0.693 0.402
O 0.124 0.208 0.280

Largest 6 diffraction maxima, in order of falling intensity, 2θ = 15–90°:
| index | d [Å] | I (rel.) |
| --- | --- | --- |
| 1 2 1 | 4.811 | 100.0 |
| 3 1 2 | 2.850 | 52.0 |
| 2 4 0 | 3.171 | 40.3 |
| 4 3 1 | 2.647 | 36.0 |
| 1 7 2 | 1.762 | 20.2 |
| 1 2 3 | 2.295 | 19.4 |

***

[3]
# BeAg2Br4
Computed PXRD pattern, Cu Kα. Input: DFT lattice parameters and positions (PBE).
Peak positions follow from Bragg's law for the DFT cell and can differ from measured ones.

Structural model:
Lattice parameters (Å, degrees): 6.705 6.705 10.293 90.00 90.00 90.00
Space group I-42m (No. 121)
One atom of each set of equivalent atoms:
Be 0.000 0.000 0.000
Ag 0.000 0.500 0.000
Br 0.192 0.192 0.124

Largest 6 diffraction maxima, in order of falling intensity, 2θ = 15–90°:
| index | d [Å] | I (rel.) |
| --- | --- | --- |
| 1 1 2 | 3.487 | 100.0 |
| 2 0 4 | 2.041 | 38.0 |
| 1 1 4 | 2.260 | 27.9 |
| 0 0 2 | 5.146 | 27.4 |
| 1 1 0 | 4.741 | 24.8 |
| 2 0 2 | 2.809 | 22.8 |

***

Repeat the third record exactly.
# BeAg2Br4
Computed PXRD pattern, Cu Kα. Input: DFT lattice parameters and positions (PBE).
Peak positions follow from Bragg's law for the DFT cell and can differ from measured ones.

Structural model:
Lattice parameters (Å, degrees): 6.705 6.705 10.293 90.00 90.00 90.00
Space group I-42m (No. 121)
One atom of each set of equivalent atoms:
Be 0.000 0.000 0.000
Ag 0.000 0.500 0.000
Br 0.192 0.192 0.124

Largest 6 diffraction maxima, in order of falling intensity, 2θ = 15–90°:
| index | d [Å] | I (rel.) |
| --- | --- | --- |
| 1 1 2 | 3.487 | 100.0 |
| 2 0 4 | 2.041 | 38.0 |
| 1 1 4 | 2.260 | 27.9 |
| 0 0 2 | 5.146 | 27.4 |
| 1 1 0 | 4.741 | 24.8 |
| 2 0 2 | 2.809 | 22.8 |